Entry 1:
The following is a simulated powder diffraction line list of Zr4Al3. It was derived from a cell relaxed with PBE, using a wavelength of 1.5418 Å.
Lines closer than 0.1° are merged.

Crystal structure
```
data_Zr4Al3
_chemical_formula_sum 'Zr8 Al6'
_space_group_name_H-M_alt 'P 1'
_space_group_IT_number 1
_cell_length_a 8.2684
_cell_length_b 8.2684
_cell_length_c 4.7590
_cell_angle_alpha 90.00
_cell_angle_beta 90.00
_cell_angle_gamma 120.00
loop_
_space_group_symop_operation_xyz
'x,y,z'
loop_
_atom_site_label
_atom_site_type_symbol
_atom_site_fract_x
_atom_site_fract_y
_atom_site_fract_z
Zr1 Zr 0.0090 0.7737 0.2500
Zr2 Zr 0.2263 0.2353 0.2500
Zr3 Zr 0.2353 0.0090 0.7500
Zr4 Zr 0.3333 0.6667 0.2500
Zr5 Zr 0.6667 0.3333 0.7500
Zr6 Zr 0.7647 0.9910 0.2500
Zr7 Zr 0.7737 0.7647 0.7500
Zr8 Zr 0.9910 0.2263 0.7500
Al1 Al 0.0785 0.6119 0.7500
Al2 Al 0.3881 0.4666 0.7500
Al3 Al 0.4666 0.0785 0.2500
Al4 Al 0.5334 0.9215 0.7500
Al5 Al 0.6119 0.5334 0.2500
Al6 Al 0.9215 0.3881 0.2500
```

Principal peaks in the range 15° ≤ 2θ ≤ 90°, by intensity:
Position (°2θ)	I_rel
38.3	100
33.1	30
37.8	25
28.6	23
51.1	22
68.6	17
72.3	16
59.1	15
22.4	10
24.9	9

***

Entry 2:
The following is a simulated powder diffraction line list of ZrAl. It was derived from a cell relaxed with PBE, using a wavelength of 1.5418 Å.
Lines closer than 0.1° are merged.

Crystal structure
```
data_ZrAl
_chemical_formula_sum 'Zr6 Al6'
_space_group_name_H-M_alt 'P 1'
_space_group_IT_number 1
_cell_length_a 4.9079
_cell_length_b 8.2703
_cell_length_c 5.7577
_cell_angle_alpha 90.00
_cell_angle_beta 90.00
_cell_angle_gamma 90.00
loop_
_space_group_symop_operation_xyz
'x,y,z'
loop_
_atom_site_label
_atom_site_type_symbol
_atom_site_fract_x
_atom_site_fract_y
_atom_site_fract_z
Zr1 Zr 0.0000 0.0002 0.0000
Zr2 Zr 0.0000 0.9998 0.5000
Zr3 Zr 0.0000 0.3511 0.2488
Zr4 Zr 0.0000 0.6489 0.7488
Zr5 Zr 0.5000 0.1870 0.7504
Zr6 Zr 0.5000 0.8130 0.2504
Al1 Al 0.0000 0.3184 0.7485
Al2 Al 0.0000 0.6816 0.2485
Al3 Al 0.5000 0.1574 0.2504
Al4 Al 0.5000 0.4993 0.4987
Al5 Al 0.5000 0.5007 0.9987
Al6 Al 0.5000 0.8426 0.7504
```

Principal peaks in the range 15° ≤ 2θ ≤ 90°, by intensity:
Position (°2θ)	I_rel
37.4	100
37.8	91
36.6	57
26.2	56
38.1	46
53.9	33
26.5	25
77.3	23
68.1	21
66.5	19

***

Entry 3:
The following is a simulated powder diffraction line list of ZrAl12. It was derived from a cell relaxed with PBE, using a wavelength of 1.5418 Å.
Lines closer than 0.1° are merged.

Crystal structure
```
data_ZrAl12
_chemical_formula_sum 'Zr1 Al12'
_space_group_name_H-M_alt 'P 1'
_space_group_IT_number 1
_cell_length_a 6.7227
_cell_length_b 6.7227
_cell_length_c 6.7227
_cell_angle_alpha 109.47
_cell_angle_beta 109.47
_cell_angle_gamma 109.47
loop_
_space_group_symop_operation_xyz
'x,y,z'
loop_
_atom_site_label
_atom_site_type_symbol
_atom_site_fract_x
_atom_site_fract_y
_atom_site_fract_z
Zr1 Zr 0.0000 0.0000 0.0000
Al1 Al 0.1296 0.8134 0.3162
Al2 Al 0.1866 0.3162 0.5028
Al3 Al 0.1866 0.6838 0.8704
Al4 Al 0.3162 0.1296 0.8134
Al5 Al 0.3162 0.5028 0.1866
Al6 Al 0.4972 0.8134 0.6838
Al7 Al 0.5028 0.1866 0.3162
Al8 Al 0.6838 0.4972 0.8134
Al9 Al 0.6838 0.8704 0.1866
Al10 Al 0.8134 0.3162 0.1296
Al11 Al 0.8134 0.6838 0.4972
Al12 Al 0.8704 0.1866 0.6838
```

Principal peaks in the range 15° ≤ 2θ ≤ 90°, by intensity:
Position (°2θ)	I_rel
36.6	100
43.6	85
16.1	55
40.2	40
75.5	33
28.2	32
70.8	26
60.8	24
89.2	16
58.2	15